Simulated PXRD pattern
Compound: YHoMoO6
Radiation: Cu Kα, 1.54184 Å
Structure: a DFT-relaxed cell (GGA+U, Alexandria)
No peak broadening, texture or thermal motion is included.

Atomic structure:
```
data_YHoMoO6
_cell_length_a 5.4837
_cell_length_b 5.4837
_cell_length_c 4.8007
_cell_angle_alpha 90.00
_cell_angle_beta 90.00
_cell_angle_gamma 120.00
_symmetry_space_group_name_H-M 'P 3 1 2'
_symmetry_Int_Tables_number 149
loop_
_symmetry_equiv_pos_as_xyz
'x,y,z'
'-y,x-y,z'
'-x+y,-x,z'
'-y,-x,-z'
'-x+y,y,-z'
'x,x-y,-z'
loop_
_atom_site_label
_atom_site_type_symbol
_atom_site_fract_x
_atom_site_fract_y
_atom_site_fract_z
Y1 Y 0.0000 0.0000 0.0000
Ho1 Ho 0.3333 0.6667 0.5000
Mo1 Mo 0.6667 0.3333 0.5000
O1 O 0.3681 0.0390 0.7269
```

Main lines, low angle first (2θ from 5° to 70°):
| h k l | 2theta | d/Å | I/Imax |
| --- | --- | --- | --- |
| 0 0 1 | 18.5 | 4.801 | 25.6 |
| 1 0 0 | 18.7 | 4.749 | 7.8 |
| 1 0 1 | 26.4 | 3.376 | 100.0 |
| 1 1 0 | 32.7 | 2.742 | 50.5 |
| 0 0 2 | 37.5 | 2.400 | 8.3 |
| 2 -1 1 | 37.8 | 2.381 | 24.4 |
| 2 0 1 | 42.5 | 2.128 | 27.4 |
| 2 -1 2 | 50.5 | 1.806 | 48.3 |
| 3 -1 1 | 54.6 | 1.681 | 26.4 |
| 3 0 0 | 58.3 | 1.583 | 18.0 |
| 1 0 3 | 61.1 | 1.516 | 9.2 |
| 2 2 0 | 68.4 | 1.371 | 6.4 |